No. 1
PuThMn3: theoretical powder diffractogram (Cu Kα (weighted mean of Kα1 and Kα2)), based on DFT lattice parameters and positions (PBE).
No peak broadening, texture or thermal motion is included.

Main lines, in order of falling intensity (2θ from 10° to 90°):
- 28.61 deg, I = 100
- 42.99 deg, I = 30
- 41.33 deg, I = 24
- 40.46 deg, I = 21
- 58.28 deg, I = 19
- 29.79 deg, I = 17
- 59.22 deg, I = 16
- 22.06 deg, I = 16
- 34.50 deg, I = 14
- 66.44 deg, I = 10

Atomic structure:
abc: 6.5478 6.5478 6.5478
angles: 133.22 94.16 104.04
Positions (direct):
Pu 0.0000 0.0000 0.0000
Pu 0.5000 0.0000 0.5000
Th 0.3061 0.5561 0.7500
Th 0.6939 0.4439 0.2500
Mn 0.0625 0.8125 0.2500
Mn 0.2306 0.0000 0.7306
Mn 0.2306 0.5000 0.2306
Mn 0.7694 0.0000 0.2694
Mn 0.7694 0.5000 0.7694
Mn 0.9375 0.1875 0.7500

=====

No. 2
Cu2H3F6: theoretical powder diffractogram (Cu Kα (weighted mean of Kα1 and Kα2)), based on DFT lattice parameters and positions (PBE).
No peak broadening, texture or thermal motion is included.

Main lines, in order of falling intensity (2θ from 10° to 90°):
- 19.47 deg, I = 100
- 18.62 deg, I = 92
- 34.65 deg, I = 59
- 47.94 deg, I = 47
- 37.26 deg, I = 47
- 22.74 deg, I = 46
- 20.37 deg, I = 45
- 19.28 deg, I = 45
- 38.31 deg, I = 38
- 51.37 deg, I = 37

Atomic structure:
abc: 5.8826 5.8826 10.1991
angles: 113.10 113.10 57.84
Positions (direct):
Cu 0.1652 0.6734 0.9964
Cu 0.3266 0.8348 0.5036
Cu 0.6734 0.1652 0.4964
Cu 0.8348 0.3266 0.0036
H 0.0870 0.2500 0.7567
H 0.2500 0.0870 0.2567
H 0.4741 0.5259 0.7500
H 0.5259 0.4741 0.2500
H 0.7500 0.9130 0.7433
H 0.9130 0.7500 0.2433
F 0.0540 0.1589 0.6222
F 0.1069 0.3266 0.8732
F 0.1589 0.0540 0.1222
F 0.3266 0.1069 0.3732
F 0.4586 0.5110 0.6315
F 0.4890 0.5414 0.8685
F 0.5110 0.4586 0.1315
F 0.5414 0.4890 0.3685
F 0.6734 0.8931 0.6268
F 0.8411 0.9460 0.8778
F 0.8931 0.6734 0.1268
F 0.9460 0.8411 0.3778

=====

What did the first record say?
PuThMn3: theoretical powder diffractogram (Cu Kα (weighted mean of Kα1 and Kα2)), based on DFT lattice parameters and positions (PBE).
No peak broadening, texture or thermal motion is included.

Main lines, in order of falling intensity (2θ from 10° to 90°):
- 28.61 deg, I = 100
- 42.99 deg, I = 30
- 41.33 deg, I = 24
- 40.46 deg, I = 21
- 58.28 deg, I = 19
- 29.79 deg, I = 17
- 59.22 deg, I = 16
- 22.06 deg, I = 16
- 34.50 deg, I = 14
- 66.44 deg, I = 10

Atomic structure:
abc: 6.5478 6.5478 6.5478
angles: 133.22 94.16 104.04
Positions (direct):
Pu 0.0000 0.0000 0.0000
Pu 0.5000 0.0000 0.5000
Th 0.3061 0.5561 0.7500
Th 0.6939 0.4439 0.2500
Mn 0.0625 0.8125 0.2500
Mn 0.2306 0.0000 0.7306
Mn 0.2306 0.5000 0.2306
Mn 0.7694 0.0000 0.2694
Mn 0.7694 0.5000 0.7694
Mn 0.9375 0.1875 0.7500

=====

Which formula does entry 1 have?
PuThMn3